Theoretical PXRD pattern of KBaMo2O8 for Cu Kα, from a cell relaxed with GGA+U.
Intensities are scaled so that the largest is 100.

Cell and atoms:
Cell: 6.8302 6.8302 6.8302 Å, 106.65 106.65 115.28°
Fractional positions:
K 0.0000 0.0000 0.0000
Ba 0.2500 0.7500 0.5000
Mo 0.5000 0.5000 0.0000
Mo 0.7500 0.2500 0.5000
O 0.3554 0.1770 0.8217
O 0.3554 0.5337 0.1783
O 0.4248 0.0989 0.3259
O 0.4663 0.6446 0.8217
O 0.7730 0.0989 0.6741
O 0.8230 0.6446 0.1783
O 0.9011 0.2270 0.3259
O 0.9011 0.5752 0.6741

Top 10 peaks for 2θ = 10–90°, by angle:
| 2θ (°) | Rel. int. |
| --- | --- |
| 16.3 | 13.7 |
| 21.8 | 100.0 |
| 28.9 | 76.2 |
| 31.0 | 21.0 |
| 42.9 | 58.5 |
| 44.4 | 15.8 |
| 53.9 | 16.4 |
| 59.9 | 13.2 |
| 63.5 | 15.2 |
| 73.3 | 19.2 |